Computed powder X-ray diffraction pattern of ThTlCu2Se4 for CuKα, from a GGA-PBE-relaxed structure.
Neutral-atom scattering factors, no anomalous dispersion.

The 6 most intense peaks (5° ≤ 2θ ≤ 70°), by angle:
two_theta  I_rel
17.7  47
29.4  100
34.0  46
35.0  44
35.8  81
46.2  28

Unit cell a=6.3096 b=6.3096 c=6.3096 alpha=113.65 beta=109.32 gamma=105.54
Sites, in units of the cell vectors:
Th: 0.0000 0.0000 0.0000
Tl: 0.5000 0.5000 0.0000
Cu: 0.1702 0.6702 0.5000
Cu: 0.8298 0.3298 0.5000
Se: 0.0186 0.0521 0.4842
Se: 0.4321 0.9479 0.9665
Se: 0.5679 0.5344 0.5158
Se: 0.9814 0.4656 0.0335



Computed powder X-ray diffraction pattern of Tl4Cu5Se6 for CuKα, from a GGA-PBE-relaxed structure.
Neutral-atom scattering factors, no anomalous dispersion.

The 6 most intense peaks (5° ≤ 2θ ≤ 70°), by angle:
two_theta  I_rel
26.8  64
30.7  75
31.5  100
32.8  86
33.1  81
45.0  58

Unit cell a=10.1898 b=10.1898 c=17.8895 alpha=90.00 beta=90.00 gamma=157.21
Sites, in units of the cell vectors:
Tl: 0.0023 0.9977 0.5000
Tl: 0.0105 0.9895 0.7054
Tl: 0.1778 0.8222 0.0511
Tl: 0.1971 0.8029 0.6364
Tl: 0.8029 0.1971 0.1364
Tl: 0.8222 0.1778 0.5511
Tl: 0.9895 0.0105 0.2054
Tl: 0.9977 0.0023 0.0000
Cu: 0.1238 0.8762 0.3501
Cu: 0.3019 0.6981 0.3495
Cu: 0.3514 0.6486 0.9623
Cu: 0.3542 0.6458 0.7395
Cu: 0.4348 0.5652 0.3505
Cu: 0.5652 0.4348 0.8505
Cu: 0.6458 0.3542 0.2395
Cu: 0.6486 0.3514 0.4623
Cu: 0.6981 0.3019 0.8495
Cu: 0.8762 0.1238 0.8501
Se: 0.1295 0.8705 0.8727
Se: 0.2143 0.7857 0.2549
Se: 0.2140 0.7860 0.4442
Se: 0.4036 0.5964 0.0835
Se: 0.4144 0.5856 0.6234
Se: 0.4451 0.5549 0.8492
Se: 0.5549 0.4451 0.3492
Se: 0.5856 0.4144 0.1234
Se: 0.5964 0.4036 0.5835
Se: 0.7857 0.2143 0.7549
Se: 0.7860 0.2140 0.9442
Se: 0.8705 0.1295 0.3727